This entry pairs a crystal structure of Ti4Nb2Ir with its simulated powder XRD pattern. Radiation: Cu Kα. Structure: a cell relaxed with GGA-PBE.
Neutral-atom scattering factors, no anomalous dispersion.

Cell and atoms:
```
Ti4Nb2Ir
1.0
-2.3661 2.3661 6.3641
2.3661 -2.3661 6.3641
2.3661 2.3661 -6.3641
Ti Nb Ir
4 2 1
Cartesian
2.3661 0.0000 0.0000
0.0000 0.0000 2.4934
0.0000 2.3661 0.0000
0.0000 0.0000 10.2348
0.0000 0.0000 4.8592
0.0000 0.0000 7.8690
0.0000 0.0000 0.0000
```

Top 10 peaks for 2θ from 5° to 70°, in order of rising 2θ:
13.92 deg, I 80; 26.64 deg, I 100; 28.25 deg, I 59; 38.03 deg, I 87; 40.23 deg, I 90; 40.68 deg, I 23; 48.04 deg, I 29; 54.87 deg, I 29; 56.55 deg, I 65; 62.02 deg, I 18